This entry pairs a crystal structure of LaWBrO4 with its computed X-ray powder pattern. Radiation: Cu Kα (λ = 1.5418 Å). Structure: a crystal structure in Alexandria, relaxed with PBE+U.

Principal peaks in the range 10° ≤ 2θ ≤ 80°, low angle first:
| 2θ (°) | I (rel.) |
| --- | --- |
| 12.74 | 20 |
| 23.24 | 100 |
| 23.99 | 43 |
| 25.64 | 36 |
| 27.24 | 28 |
| 27.62 | 51 |
| 28.04 | 27 |
| 32.84 | 45 |
| 33.65 | 23 |
| 34.87 | 29 |

Cell and atoms:
```
data_LaWBrO4
_cell_length_a 10.957
_cell_length_b 7.654
_cell_length_c 7.253
_cell_angle_alpha 90.00
_cell_angle_beta 106.63
_cell_angle_gamma 90.00
_symmetry_space_group_name_H-M 'C 1 2/m 1'
_symmetry_Int_Tables_number 12
loop_
_symmetry_equiv_pos_as_xyz
'x,y,z'
'-x,-y,-z'
'-x,y,-z'
'x,-y,z'
'x+1/2,y+1/2,z'
'-x+1/2,-y+1/2,-z'
'-x+1/2,y+1/2,-z'
'x+1/2,-y+1/2,z'
loop_
_atom_site_label
_atom_site_type_symbol
_atom_site_fract_x
_atom_site_fract_y
_atom_site_fract_z
La1 La 0.230 0.000 0.129
W1 W 0.135 0.500 0.262
Br1 Br 0.015 0.000 0.755
O1 O 0.037 0.500 0.800
O2 O 0.193 0.315 0.151
O3 O 0.200 0.500 0.520
```